Structure and theoretical powder diffractogram of Pm4ThNi5 (a crystal structure in Alexandria, relaxed with PBE; Cu Ka).

Crystal structure
a b c (Å): 3.488 3.488 17.388
angles (deg): 90.00 90.00 90.00
Positions (direct):
Pm (0.000, 0.000, 0.100)
Pm (0.000, 0.000, 0.298)
Pm (0.000, 0.000, 0.702)
Pm (0.000, 0.000, 0.900)
Th (0.000, 0.000, 0.500)
Ni (0.500, 0.500, 0.000)
Ni (0.500, 0.500, 0.198)
Ni (0.500, 0.500, 0.413)
Ni (0.500, 0.500, 0.587)
Ni (0.500, 0.500, 0.802)

Main lines, by angle (10° ≤ 2θ ≤ 80°):
d_spacing  two_theta  I_rel
3.485  25.56  23
2.464  36.46  100
2.012  45.06  7
1.744  52.46  12
1.739  52.64  5
1.560  59.25  7
1.556  59.39  4
1.423  65.59  23
1.421  65.70  11
1.231  77.52  7


Structure and theoretical powder diffractogram of Pm2Th2Ni3 (a crystal structure in Alexandria, relaxed with PBE; Cu Ka).

Crystal structure
a b c (Å): 3.790 6.755 7.335
angles (deg): 94.04 104.93 106.13
Positions (direct):
Pm (0.191, 0.265, 0.120)
Pm (0.809, 0.735, 0.880)
Th (0.080, 0.762, 0.398)
Th (0.920, 0.238, 0.602)
Ni (0.429, 0.050, 0.809)
Ni (0.500, 0.500, 0.500)
Ni (0.571, 0.950, 0.191)

Main lines, by angle (10° ≤ 2θ ≤ 80°):
d_spacing  two_theta  I_rel
3.481  25.59  33
3.293  27.08  44
3.206  27.82  43
2.893  30.91  76
2.836  31.55  100
2.809  31.85  45
2.541  35.32  61
2.267  39.77  50
1.963  46.25  32
1.895  48.01  29


Structure and theoretical powder diffractogram of PmTh2Ni (a crystal structure in Alexandria, relaxed with PBE; Cu Ka).

Crystal structure
a b c (Å): 3.716 11.903 9.905
angles (deg): 90.00 90.00 90.00
Positions (direct):
Pm (0.000, 0.086, 0.250)
Pm (0.000, 0.914, 0.750)
Pm (0.500, 0.414, 0.750)
Pm (0.500, 0.586, 0.250)
Th (0.000, 0.362, 0.059)
Th (0.000, 0.362, 0.441)
Th (0.000, 0.638, 0.559)
Th (0.000, 0.638, 0.941)
Th (0.500, 0.138, 0.559)
Th (0.500, 0.138, 0.941)
Th (0.500, 0.862, 0.059)
Th (0.500, 0.862, 0.441)
Ni (0.000, 0.210, 0.750)
Ni (0.000, 0.790, 0.250)
Ni (0.500, 0.290, 0.250)
Ni (0.500, 0.710, 0.750)

Main lines, by angle (10° ≤ 2θ ≤ 80°):
d_spacing  two_theta  I_rel
2.976  30.03  24
2.885  30.99  100
2.712  33.02  19
2.616  34.28  24
2.417  37.20  21
2.379  37.82  27
1.858  49.02  17
1.713  53.48  16
1.563  59.13  16
1.546  59.81  13


Structure and theoretical powder diffractogram of PmTh4Ni4 (a crystal structure in Alexandria, relaxed with PBE; Cu Ka).

Crystal structure
a b c (Å): 8.625 8.625 5.839
angles (deg): 90.00 90.00 90.00
Positions (direct):
Pm (0.250, 0.250, 0.250)
Pm (0.750, 0.750, 0.750)
Th (0.055, 0.666, 0.160)
Th (0.166, 0.945, 0.660)
Th (0.334, 0.555, 0.660)
Th (0.445, 0.834, 0.160)
Th (0.555, 0.166, 0.840)
Th (0.666, 0.445, 0.340)
Th (0.834, 0.055, 0.340)
Th (0.945, 0.334, 0.840)
Ni (0.033, 0.621, 0.636)
Ni (0.121, 0.967, 0.136)
Ni (0.379, 0.533, 0.136)
Ni (0.467, 0.879, 0.636)
Ni (0.533, 0.121, 0.364)
Ni (0.621, 0.467, 0.864)
Ni (0.879, 0.033, 0.864)
Ni (0.967, 0.379, 0.364)

Main lines, by angle (10° ≤ 2θ ≤ 80°):
d_spacing  two_theta  I_rel
3.219  27.72  97
2.766  32.37  48
2.728  32.84  100
2.328  38.68  27
2.049  44.21  15
1.993  45.51  16
1.929  47.12  35
1.850  49.24  28
1.700  53.92  22
1.654  55.55  32


Structure and theoretical powder diffractogram of PmTlNi5 (a crystal structure in Alexandria, relaxed with PBE; Cu Ka).

Crystal structure
a b c (Å): 8.218 4.912 10.444
angles (deg): 90.00 90.00 90.00
Positions (direct):
Pm (0.250, 0.250, 0.062)
Pm (0.250, 0.750, 0.562)
Pm (0.750, 0.250, 0.438)
Pm (0.750, 0.750, 0.938)
Tl (0.138, 0.250, 0.366)
Tl (0.362, 0.750, 0.866)
Tl (0.638, 0.250, 0.134)
Tl (0.862, 0.750, 0.634)
Ni (0.049, 0.250, 0.612)
Ni (0.068, 0.001, 0.813)
Ni (0.068, 0.499, 0.813)
Ni (0.077, 0.750, 0.016)
Ni (0.187, 0.750, 0.239)
Ni (0.313, 0.250, 0.739)
Ni (0.423, 0.250, 0.516)
Ni (0.432, 0.501, 0.313)
Ni (0.432, 0.999, 0.313)
Ni (0.451, 0.750, 0.112)
Ni (0.549, 0.250, 0.888)
Ni (0.568, 0.001, 0.687)
Ni (0.568, 0.499, 0.687)
Ni (0.577, 0.750, 0.484)
Ni (0.687, 0.750, 0.261)
Ni (0.813, 0.250, 0.761)
Ni (0.923, 0.250, 0.984)
Ni (0.932, 0.501, 0.187)
Ni (0.932, 0.999, 0.187)
Ni (0.951, 0.750, 0.388)

Main lines, by angle (10° ≤ 2θ ≤ 80°):
d_spacing  two_theta  I_rel
2.840  31.50  31
2.684  33.38  29
2.488  36.10  21
2.456  36.59  31
2.426  37.06  19
2.334  38.58  100
2.175  41.52  24
2.066  43.81  31
2.011  45.09  41
1.950  46.59  32


Structure and theoretical powder diffractogram of Pm4TlNi2 (a crystal structure in Alexandria, relaxed with PBE; Cu Ka).

Crystal structure
a b c (Å): 9.667 9.667 9.667
angles (deg): 29.16 29.16 29.16
Positions (direct):
Pm (0.112, 0.112, 0.112)
Pm (0.297, 0.297, 0.297)
Pm (0.703, 0.703, 0.703)
Pm (0.888, 0.888, 0.888)
Tl (0.500, 0.500, 0.500)
Ni (0.400, 0.400, 0.400)
Ni (0.600, 0.600, 0.600)

Main lines, by angle (10° ≤ 2θ ≤ 80°):
d_spacing  two_theta  I_rel
4.167  21.32  12
3.357  26.55  100
2.434  36.94  89
2.318  38.86  64
1.970  46.07  23
1.678  54.70  26
1.531  60.46  21
1.473  63.13  10
1.405  66.55  16
1.382  67.84  26


Structure and theoretical powder diffractogram of Pm4TlNi (a crystal structure in Alexandria, relaxed with PBE; Cu Ka).

Crystal structure
a b c (Å): 9.875 9.875 9.875
angles (deg): 60.00 60.00 60.00
Positions (direct):
Pm (0.044, 0.652, 0.652)
Pm (0.061, 0.061, 0.439)
Pm (0.061, 0.439, 0.061)
Pm (0.061, 0.439, 0.439)
Pm (0.189, 0.189, 0.811)
Pm (0.189, 0.811, 0.189)
Pm (0.189, 0.811, 0.811)
Pm (0.439, 0.061, 0.061)
Pm (0.439, 0.061, 0.439)
Pm (0.439, 0.439, 0.061)
Pm (0.652, 0.044, 0.652)
Pm (0.652, 0.652, 0.044)
Pm (0.652, 0.652, 0.652)
Pm (0.811, 0.189, 0.189)
Pm (0.811, 0.189, 0.811)
Pm (0.811, 0.811, 0.189)
Tl (0.416, 0.416, 0.416)
Tl (0.416, 0.416, 0.752)
Tl (0.416, 0.752, 0.416)
Tl (0.752, 0.416, 0.416)
Ni (0.428, 0.857, 0.857)
Ni (0.857, 0.428, 0.857)
Ni (0.857, 0.857, 0.428)
Ni (0.857, 0.857, 0.857)

Main lines, by angle (10° ≤ 2θ ≤ 80°):
d_spacing  two_theta  I_rel
8.063  10.97  7
3.204  27.85  19
2.851  31.38  56
2.688  33.34  100
2.469  36.39  25
1.818  50.18  8
1.706  53.73  8
1.646  55.86  48
1.613  57.12  13
1.404  66.64  19


Structure and theoretical powder diffractogram of PmTm6Ni2 (a crystal structure in Alexandria, relaxed with PBE; Cu Ka).

Crystal structure
a b c (Å): 8.456 8.456 8.456
angles (deg): 115.42 106.70 106.47
Positions (direct):
Pm (0.000, 0.000, 0.000)
Pm (0.500, 0.500, 0.000)
Tm (0.000, 0.223, 0.777)
Tm (0.000, 0.777, 0.223)
Tm (0.193, 0.303, 0.496)
Tm (0.193, 0.697, 0.890)
Tm (0.309, 0.008, 0.698)
Tm (0.309, 0.611, 0.302)
Tm (0.446, 0.223, 0.223)
Tm (0.554, 0.777, 0.777)
Tm (0.691, 0.389, 0.698)
Tm (0.691, 0.992, 0.302)
Tm (0.807, 0.303, 0.110)
Tm (0.807, 0.697, 0.504)
Ni (0.119, 0.619, 0.500)
Ni (0.374, 0.000, 0.374)
Ni (0.626, 0.000, 0.626)
Ni (0.881, 0.381, 0.500)

Main lines, by angle (10° ≤ 2θ ≤ 80°):
d_spacing  two_theta  I_rel
3.196  27.91  21
2.886  30.98  21
2.803  31.93  100
2.677  33.48  37
2.610  34.36  41
2.527  35.52  32
2.506  35.83  18
2.260  39.89  23
1.594  57.85  18
1.519  61.01  18


Structure and theoretical powder diffractogram of PmTm2Ni9 (a crystal structure in Alexandria, relaxed with PBE; Cu Ka).

Crystal structure
a b c (Å): 4.974 4.974 16.102
angles (deg): 90.00 90.00 120.00
Positions (direct):
Pm (0.333, 0.667, 0.250)
Pm (0.667, 0.333, 0.750)
Tm (0.333, 0.667, 0.040)
Tm (0.333, 0.667, 0.460)
Tm (0.667, 0.333, 0.540)
Tm (0.667, 0.333, 0.960)
Ni (0.000, 0.000, 0.000)
Ni (0.000, 0.000, 0.250)
Ni (0.000, 0.000, 0.500)
Ni (0.000, 0.000, 0.750)
Ni (0.168, 0.335, 0.625)
Ni (0.168, 0.335, 0.875)
Ni (0.168, 0.832, 0.625)
Ni (0.168, 0.832, 0.875)
Ni (0.333, 0.667, 0.750)
Ni (0.335, 0.168, 0.125)
Ni (0.335, 0.168, 0.375)
Ni (0.665, 0.832, 0.625)
Ni (0.665, 0.832, 0.875)
Ni (0.667, 0.333, 0.250)
Ni (0.832, 0.168, 0.125)
Ni (0.832, 0.168, 0.375)
Ni (0.832, 0.665, 0.125)
Ni (0.832, 0.665, 0.375)

Main lines, by angle (10° ≤ 2θ ≤ 80°):
d_spacing  two_theta  I_rel
2.579  34.78  77
2.487  36.11  57
2.135  42.33  35
2.116  42.73  100
2.029  44.66  18
1.999  45.37  27
1.453  64.08  26
1.376  68.13  16
1.352  69.52  36
1.244  76.62  22


Structure and theoretical powder diffractogram of PmUNi (a crystal structure in Alexandria, relaxed with PBE; Cu Ka).

Crystal structure
a b c (Å): 3.068 5.678 15.278
angles (deg): 90.00 90.00 90.00
Positions (direct):
Pm (0.000, 0.000, 0.179)
Pm (0.000, 0.000, 0.821)
Pm (0.500, 0.500, 0.321)
Pm (0.500, 0.500, 0.679)
U (0.000, 0.285, 0.500)
U (0.000, 0.715, 0.500)
U (0.500, 0.215, 0.000)
U (0.500, 0.785, 0.000)
Ni (0.000, 0.000, 0.369)
Ni (0.000, 0.000, 0.631)
Ni (0.500, 0.500, 0.131)
Ni (0.500, 0.500, 0.869)

Main lines, by angle (10° ≤ 2θ ≤ 80°):
d_spacing  two_theta  I_rel
7.639  11.58  94
3.008  29.70  60
2.699  33.19  28
2.691  33.30  43
2.661  33.68  92
2.628  34.12  98
2.546  35.26  100
2.279  39.55  58
2.065  43.85  49
1.721  53.21  71


Structure and theoretical powder diffractogram of Pm2YNi6 (a crystal structure in Alexandria, relaxed with PBE; Cu Ka).

Crystal structure
a b c (Å): 6.926 6.926 3.908
angles (deg): 90.00 90.00 120.00
Positions (direct):
Pm (0.333, 0.667, 0.000)
Pm (0.667, 0.333, 0.000)
Y (0.000, 0.000, 0.000)
Ni (0.000, 0.332, 0.500)
Ni (0.000, 0.668, 0.500)
Ni (0.332, 0.000, 0.500)
Ni (0.332, 0.332, 0.500)
Ni (0.668, 0.000, 0.500)
Ni (0.668, 0.668, 0.500)

Main lines, by angle (10° ≤ 2θ ≤ 80°):
d_spacing  two_theta  I_rel
5.998  14.77  3
3.463  25.72  11
2.592  34.61  100
1.999  45.36  41
1.954  46.48  13
1.702  53.87  3
1.583  58.28  21
1.397  66.96  24
1.241  76.79  19
1.219  78.44  9


Structure and theoretical powder diffractogram of Pm4YNi2 (a crystal structure in Alexandria, relaxed with PBE; Cu Ka).

Crystal structure
a b c (Å): 7.600 6.572 8.139
angles (deg): 90.00 113.18 90.00
Positions (direct):
Pm (0.023, 0.250, 0.382)
Pm (0.255, 0.750, 0.349)
Pm (0.409, 0.008, 0.770)
Pm (0.409, 0.492, 0.770)
Pm (0.591, 0.508, 0.230)
Pm (0.591, 0.992, 0.230)
Pm (0.745, 0.250, 0.651)
Pm (0.977, 0.750, 0.618)
Y (0.147, 0.250, 0.029)
Y (0.853, 0.750, 0.971)
Ni (0.251, 0.750, 0.998)
Ni (0.376, 0.250, 0.401)
Ni (0.624, 0.750, 0.599)
Ni (0.749, 0.250, 0.002)

Main lines, by angle (10° ≤ 2θ ≤ 80°):
d_spacing  two_theta  I_rel
2.974  30.05  63
2.935  30.46  100
2.862  31.25  47
2.711  33.04  39
2.559  35.07  48
2.523  35.58  39
2.482  36.19  37
2.469  36.39  43
1.987  45.67  32
1.642  55.99  34